[1]
The following is a simulated PXRD pattern of Mn4O7F. It was derived from DFT lattice parameters and positions (PBE+U), using Cu Kα (λ = 1.5418 Å).

The 10 most intense peaks (15° ≤ 2θ ≤ 90°), by angle:
2theta  I_rel
25.77  59
31.50  100
36.05  13
37.51  23
42.82  17
44.84  19
54.36  14
56.33  39
65.78  17
66.97  13

Atomic structure:
a b c (Å): 7.399 7.399 4.461
angles (deg): 90.11 90.11 95.34
Sites, in units of the cell vectors:
Mn (0.000, 0.000, 0.000)
Mn (0.117, 0.395, 0.977)
Mn (0.251, 0.749, 0.500)
Mn (0.344, 0.145, 0.486)
Mn (0.504, 0.496, 0.000)
Mn (0.605, 0.883, 0.023)
Mn (0.753, 0.247, 0.500)
Mn (0.855, 0.656, 0.514)
O (0.036, 0.793, 0.268)
O (0.073, 0.600, 0.725)
O (0.146, 0.183, 0.224)
O (0.207, 0.964, 0.732)
O (0.289, 0.539, 0.228)
O (0.324, 0.351, 0.759)
O (0.400, 0.927, 0.275)
O (0.461, 0.711, 0.772)
O (0.535, 0.288, 0.269)
O (0.649, 0.676, 0.241)
O (0.712, 0.465, 0.731)
O (0.787, 0.038, 0.235)
O (0.817, 0.854, 0.776)
O (0.962, 0.213, 0.765)
F (0.560, 0.088, 0.760)
F (0.912, 0.440, 0.240)

[2]
The following is a simulated PXRD pattern of CaMn3V4O12. It was derived from DFT lattice parameters and positions (PBE+U), using Cu Kα (λ = 1.5418 Å).

The 10 most intense peaks (15° ≤ 2θ ≤ 90°), by angle:
2theta  I_rel
29.03  2
33.65  100
37.76  7
41.52  5
45.02  5
48.32  34
60.17  49
70.74  15
73.27  2
80.66  15

Atomic structure:
a b c (Å): 6.524 6.524 6.524
angles (deg): 109.47 109.47 109.47
Sites, in units of the cell vectors:
Ca (0.000, 0.000, 0.000)
Mn (0.000, 0.500, 0.500)
Mn (0.500, 0.000, 0.500)
Mn (0.500, 0.500, 0.000)
V (0.000, 0.000, 0.500)
V (0.000, 0.500, 0.000)
V (0.500, 0.000, 0.000)
V (0.500, 0.500, 0.500)
O (0.110, 0.301, 0.810)
O (0.190, 0.491, 0.301)
O (0.190, 0.890, 0.699)
O (0.301, 0.190, 0.491)
O (0.301, 0.810, 0.110)
O (0.491, 0.301, 0.190)
O (0.509, 0.699, 0.810)
O (0.699, 0.190, 0.890)
O (0.699, 0.810, 0.509)
O (0.810, 0.110, 0.301)
O (0.810, 0.509, 0.699)
O (0.890, 0.699, 0.190)

[3]
The following is a simulated PXRD pattern of V3P4O16. It was derived from DFT lattice parameters and positions (PBE+U), using Cu Kα (λ = 1.5418 Å).

The 10 most intense peaks (15° ≤ 2θ ≤ 90°), by angle:
2theta  I_rel
16.26  100
21.50  43
23.19  84
24.49  51
25.70  69
30.89  35
35.06  20
36.55  20
39.52  23
50.20  24

Atomic structure:
a b c (Å): 7.800 7.642 10.269
angles (deg): 90.00 94.41 90.00
Sites, in units of the cell vectors:
V (0.160, 0.000, 0.321)
V (0.270, 0.338, 0.875)
V (0.272, 0.393, 0.367)
V (0.728, 0.893, 0.633)
V (0.730, 0.838, 0.125)
V (0.840, 0.500, 0.679)
P (0.048, 0.188, 0.103)
P (0.060, 0.159, 0.607)
P (0.451, 0.559, 0.649)
P (0.459, 0.531, 0.126)
P (0.541, 0.031, 0.874)
P (0.549, 0.059, 0.351)
P (0.940, 0.659, 0.393)
P (0.952, 0.688, 0.897)
O (0.009, 0.993, 0.160)
O (0.037, 0.488, 0.372)
O (0.072, 0.811, 0.408)
O (0.096, 0.810, 0.911)
O (0.146, 0.155, 0.470)
O (0.159, 0.178, 0.982)
O (0.187, 0.223, 0.228)
O (0.200, 0.202, 0.713)
O (0.311, 0.492, 0.019)
O (0.339, 0.497, 0.528)
O (0.347, 0.529, 0.767)
O (0.347, 0.545, 0.256)
O (0.383, 0.935, 0.330)
O (0.405, 0.900, 0.851)
O (0.484, 0.244, 0.377)
O (0.486, 0.227, 0.893)
O (0.514, 0.727, 0.107)
O (0.516, 0.744, 0.623)
O (0.595, 0.400, 0.149)
O (0.617, 0.435, 0.670)
O (0.653, 0.029, 0.233)
O (0.653, 0.045, 0.744)
O (0.661, 0.997, 0.472)
O (0.689, 0.992, 0.981)
O (0.800, 0.702, 0.287)
O (0.813, 0.723, 0.772)
O (0.841, 0.678, 0.018)
O (0.854, 0.655, 0.530)
O (0.904, 0.310, 0.089)
O (0.928, 0.311, 0.592)
O (0.963, 0.988, 0.628)
O (0.991, 0.493, 0.840)

[4]
The following is a simulated PXRD pattern of Li3Ni5O10. It was derived from DFT lattice parameters and positions (PBE+U), using Cu Kα (λ = 1.5418 Å).

The 10 most intense peaks (15° ≤ 2θ ≤ 90°), by angle:
2theta  I_rel
18.41  100
36.40  14
37.32  5
37.50  21
43.90  19
44.97  35
58.63  5
64.00  5
65.19  10
68.47  5

Atomic structure:
a b c (Å): 6.471 7.482 7.569
angles (deg): 66.49 87.50 88.62
Sites, in units of the cell vectors:
Li (0.000, 0.000, 0.000)
Li (0.087, 0.439, 0.909)
Li (0.385, 0.633, 0.618)
Li (0.483, 0.025, 0.522)
Li (0.589, 0.442, 0.407)
Li (0.794, 0.224, 0.205)
Ni (0.086, 0.929, 0.408)
Ni (0.190, 0.328, 0.311)
Ni (0.289, 0.724, 0.213)
Ni (0.390, 0.125, 0.112)
Ni (0.491, 0.528, 0.012)
Ni (0.589, 0.928, 0.911)
Ni (0.685, 0.327, 0.808)
Ni (0.791, 0.727, 0.710)
Ni (0.893, 0.131, 0.608)
Ni (0.985, 0.527, 0.508)
O (0.017, 0.782, 0.268)
O (0.060, 0.667, 0.650)
O (0.113, 0.190, 0.164)
O (0.168, 0.093, 0.532)
O (0.212, 0.562, 0.088)
O (0.271, 0.489, 0.435)
O (0.312, 0.959, 0.994)
O (0.360, 0.867, 0.358)
O (0.413, 0.388, 0.867)
O (0.464, 0.268, 0.259)
O (0.521, 0.783, 0.767)
O (0.561, 0.668, 0.155)
O (0.619, 0.188, 0.658)
O (0.668, 0.094, 0.032)
O (0.700, 0.558, 0.588)
O (0.769, 0.465, 0.950)
O (0.812, 0.991, 0.467)
O (0.867, 0.901, 0.829)
O (0.913, 0.365, 0.382)
O (0.958, 0.271, 0.757)

[5]
The following is a simulated PXRD pattern of Li9Mn2Co5O16. It was derived from DFT lattice parameters and positions (PBE+U), using Cu Kα (λ = 1.5418 Å).

The 10 most intense peaks (15° ≤ 2θ ≤ 90°), by angle:
2theta  I_rel
18.38  100
35.16  16
36.31  13
36.55  12
37.61  8
42.23  30
44.12  26
44.50  25
62.54  7
62.91  8

Atomic structure:
a b c (Å): 5.152 5.928 10.091
angles (deg): 87.85 79.31 70.97
Sites, in units of the cell vectors:
Li (0.000, 0.000, 0.000)
Li (0.003, 0.768, 0.254)
Li (0.007, 0.248, 0.747)
Li (0.017, 0.496, 0.493)
Li (0.488, 0.627, 0.375)
Li (0.505, 0.131, 0.871)
Li (0.507, 0.127, 0.373)
Li (0.511, 0.881, 0.128)
Li (0.519, 0.372, 0.619)
Mn (0.008, 0.756, 0.746)
Mn (0.508, 0.376, 0.126)
Co (0.001, 0.003, 0.501)
Co (0.006, 0.502, 0.997)
Co (0.015, 0.245, 0.256)
Co (0.505, 0.628, 0.874)
Co (0.506, 0.881, 0.620)
O (0.225, 0.954, 0.321)
O (0.231, 0.704, 0.562)
O (0.241, 0.459, 0.818)
O (0.253, 0.151, 0.558)
O (0.260, 0.438, 0.296)
O (0.261, 0.223, 0.066)
O (0.279, 0.932, 0.802)
O (0.280, 0.678, 0.057)
O (0.727, 0.587, 0.689)
O (0.740, 0.323, 0.944)
O (0.748, 0.087, 0.183)
O (0.754, 0.539, 0.176)
O (0.765, 0.838, 0.455)
O (0.775, 0.792, 0.930)
O (0.781, 0.055, 0.680)
O (0.786, 0.294, 0.442)

[6]
The following is a simulated PXRD pattern of Li4MnNi3O8. It was derived from DFT lattice parameters and positions (PBE+U), using Cu Kα (λ = 1.5418 Å).

The 10 most intense peaks (15° ≤ 2θ ≤ 90°), by angle:
2theta  I_rel
18.53  100
36.07  43
37.72  16
43.79  75
47.93  15
57.87  14
63.54  20
63.77  21
67.03  15
80.56  9

Atomic structure:
a b c (Å): 5.857 5.857 5.857
angles (deg): 59.79 59.79 59.79
Sites, in units of the cell vectors:
Li (0.000, 0.000, 0.000)
Li (0.000, 0.500, 0.500)
Li (0.500, 0.000, 0.500)
Li (0.500, 0.500, 0.000)
Mn (0.500, 0.500, 0.500)
Ni (0.000, 0.000, 0.500)
Ni (0.000, 0.500, 0.000)
Ni (0.500, 0.000, 0.000)
O (0.237, 0.237, 0.237)
O (0.261, 0.735, 0.735)
O (0.265, 0.265, 0.739)
O (0.265, 0.739, 0.265)
O (0.735, 0.261, 0.735)
O (0.735, 0.735, 0.261)
O (0.739, 0.265, 0.265)
O (0.763, 0.763, 0.763)

[7]
The following is a simulated PXRD pattern of KRb2MoO3F3. It was derived from DFT lattice parameters and positions (PBE+U), using Cu Kα (λ = 1.5418 Å).

The 10 most intense peaks (15° ≤ 2θ ≤ 90°), by angle:
2theta  I_rel
16.84  28
27.57  100
27.84  49
34.05  13
38.99  19
39.78  37
48.58  20
49.09  36
56.92  21
78.55  11

Atomic structure:
a b c (Å): 6.409 6.409 9.241
angles (deg): 90.00 90.00 90.00
Sites, in units of the cell vectors:
K (0.000, 0.000, 0.000)
K (0.500, 0.500, 0.500)
Rb (0.000, 0.500, 0.246)
Rb (0.000, 0.500, 0.746)
Rb (0.500, 0.000, 0.246)
Rb (0.500, 0.000, 0.746)
Mo (0.000, 0.000, 0.487)
Mo (0.500, 0.500, 0.987)
O (0.000, 0.000, 0.294)
O (0.198, 0.198, 0.529)
O (0.302, 0.698, 0.029)
O (0.500, 0.500, 0.794)
O (0.698, 0.302, 0.029)
O (0.802, 0.802, 0.529)
F (0.000, 0.000, 0.728)
F (0.224, 0.776, 0.506)
F (0.276, 0.276, 0.006)
F (0.500, 0.500, 0.228)
F (0.724, 0.724, 0.006)
F (0.776, 0.224, 0.506)